Starting from DFT lattice parameters and positions (GGA-PBE), the powder diffraction line list of CaH2Cl2 was simulated for copper Kα.

Main lines, by angle (2θ from 10° to 80°):
- 2θ = 10.26°, intensity 32
- 2θ = 16.83°, intensity 100
- 2θ = 24.61°, intensity 17
- 2θ = 29.53°, intensity 27
- 2θ = 30.80°, intensity 20
- 2θ = 34.03°, intensity 17

Crystal structure
```
CaH2Cl2
1.0
4.0501 0.0000 0.0000
0.0000 6.6588 0.0000
-1.5574 0.0000 8.6188
Ca H Cl
2 4 4
Direct
0.1767 0.0000 0.3134
0.8233 0.5000 0.6866
0.0298 0.3556 0.1946
0.1477 0.3314 0.1390
0.8523 0.8314 0.8610
0.9702 0.8556 0.8054
0.2636 0.7074 0.5345
0.3900 0.3707 0.8583
0.6100 0.8707 0.1417
0.7364 0.2074 0.4655
```

---

Starting from DFT lattice parameters and positions (GGA-PBE), the powder diffraction line list of CaH4Cl2O2 was simulated for copper Kα.

Main lines, by angle (2θ from 10° to 80°):
- 2θ = 14.41°, intensity 46
- 2θ = 20.22°, intensity 29
- 2θ = 28.85°, intensity 100
- 2θ = 31.51°, intensity 36
- 2θ = 35.59°, intensity 36
- 2θ = 42.07°, intensity 44

Crystal structure
```
CaH4Cl2O2
1.0
6.0033 0.0000 0.0000
0.0000 7.5660 0.0000
0.0000 0.0000 12.2955
Ca H Cl O
4 16 8 8
Direct
0.0000 0.1815 0.2500
0.0000 0.8185 0.7500
0.5000 0.3185 0.7500
0.5000 0.6815 0.2500
0.0882 0.2524 0.6194
0.0882 0.7476 0.1194
0.2433 0.3542 0.5368
0.2433 0.6458 0.0368
0.2567 0.1458 0.0368
0.2567 0.8542 0.5368
0.4118 0.2476 0.1194
0.4118 0.7524 0.6194
0.5882 0.2476 0.3806
0.5882 0.7524 0.8806
0.7433 0.1458 0.4632
0.7433 0.8542 0.9632
0.7567 0.3542 0.9632
0.7567 0.6458 0.4632
0.9118 0.2524 0.8806
0.9118 0.7476 0.3806
0.2151 0.0915 0.8620
0.2151 0.9085 0.3620
0.2849 0.4085 0.3620
0.2849 0.5915 0.8620
0.7151 0.4085 0.1380
0.7151 0.5915 0.6380
0.7849 0.0915 0.6380
0.7849 0.9085 0.1380
0.2329 0.3135 0.6128
0.2329 0.6865 0.1128
0.2671 0.1865 0.1128
0.2671 0.8135 0.6128
0.7329 0.1865 0.3872
0.7329 0.8135 0.8872
0.7671 0.3135 0.8872
0.7671 0.6865 0.3872
```

---

Starting from DFT lattice parameters and positions (GGA-PBE), the powder diffraction line list of Ca3H2Cl2O4 was simulated for copper Kα.

Main lines, by angle (2θ from 10° to 80°):
- 2θ = 25.42°, intensity 60
- 2θ = 35.75°, intensity 100
- 2θ = 35.88°, intensity 46
- 2θ = 41.37°, intensity 42
- 2θ = 42.14°, intensity 87
- 2θ = 51.66°, intensity 64

Crystal structure
```
Ca3H2Cl2O4
1.0
-1.7697 1.7697 12.4746
1.7697 -1.7697 12.4746
1.7697 1.7697 -12.4746
Ca H Cl O
3 2 2 4
Direct
0.0000 0.0000 0.0000
0.1319 0.1319 0.0000
0.8681 0.8681 0.0000
0.4332 0.4332 0.0000
0.5668 0.5668 0.0000
0.3151 0.3151 0.0000
0.6849 0.6849 0.0000
0.0663 0.5663 0.5000
0.4337 0.9337 0.5000
0.5663 0.0663 0.5000
0.9337 0.4337 0.5000
```

---

Starting from DFT lattice parameters and positions (GGA-PBE), the powder diffraction line list of CaHfCl6 was simulated for copper Kα.

Main lines, by angle (2θ from 10° to 80°):
- 2θ = 16.17°, intensity 53
- 2θ = 18.31°, intensity 100
- 2θ = 25.15°, intensity 34
- 2θ = 30.78°, intensity 48
- 2θ = 40.56°, intensity 47
- 2θ = 47.41°, intensity 28

Crystal structure
```
CaHfCl6
1.0
3.3223 1.9181 5.9877
-3.3223 1.9181 5.9877
0.0000 -3.8362 5.9877
Ca Hf Cl
1 1 6
Direct
0.0000 0.0000 0.0000
0.5000 0.5000 0.5000
0.1215 0.4136 0.7286
0.2714 0.8785 0.5864
0.4136 0.7286 0.1215
0.5864 0.2714 0.8785
0.7286 0.1215 0.4136
0.8785 0.5864 0.2714
```

---

Starting from DFT lattice parameters and positions (GGA-PBE), the powder diffraction line list of CaHg2Cl was simulated for copper Kα.

Main lines, by angle (2θ from 10° to 80°):
- 2θ = 20.47°, intensity 49
- 2θ = 33.73°, intensity 100
- 2θ = 39.78°, intensity 30
- 2θ = 48.45°, intensity 18
- 2θ = 53.12°, intensity 13
- 2θ = 60.33°, intensity 37

Crystal structure
```
CaHg2Cl
1.0
7.5154 0.0000 0.0000
0.0000 7.5154 0.0000
0.0000 0.0000 7.5154
Ca Hg Cl
4 8 4
Direct
0.0000 0.0000 0.0000
0.0000 0.5000 0.5000
0.5000 0.0000 0.5000
0.5000 0.5000 0.0000
0.0000 0.0000 0.5000
0.0000 0.5000 0.0000
0.2500 0.2500 0.2500
0.2500 0.7500 0.7500
0.5000 0.0000 0.0000
0.5000 0.5000 0.5000
0.7500 0.2500 0.7500
0.7500 0.7500 0.2500
0.2500 0.2500 0.7500
0.2500 0.7500 0.2500
0.7500 0.2500 0.2500
0.7500 0.7500 0.7500
```

---

Starting from DFT lattice parameters and positions (GGA-PBE), the powder diffraction line list of Ca3ICl5 was simulated for copper Kα.

Main lines, by angle (2θ from 10° to 80°):
- 2θ = 19.59°, intensity 97
- 2θ = 27.86°, intensity 84
- 2θ = 28.74°, intensity 100
- 2θ = 29.36°, intensity 60
- 2θ = 36.26°, intensity 77
- 2θ = 46.33°, intensity 88

Crystal structure
```
Ca3ICl5
1.0
4.5307 -14.5340 0.0000
4.5307 14.5340 0.0000
0.0000 0.0000 4.2678
Ca I Cl
6 2 10
Direct
0.0000 0.0000 0.0000
0.1612 0.8388 0.5000
0.3172 0.6828 0.0000
0.5000 0.5000 0.5000
0.6828 0.3172 0.0000
0.8388 0.1612 0.5000
0.3945 0.6055 0.5000
0.6055 0.3945 0.5000
0.0234 0.3636 0.0000
0.0637 0.9363 0.5000
0.2590 0.7410 0.5000
0.3037 0.3037 0.0000
0.3636 0.0234 0.0000
0.6364 0.9766 0.0000
0.6963 0.6963 0.0000
0.7410 0.2590 0.5000
0.9363 0.0637 0.5000
0.9766 0.6364 0.0000
```

---

Starting from DFT lattice parameters and positions (GGA-PBE), the powder diffraction line list of Ca3I5Cl was simulated for copper Kα.

Main lines, by angle (2θ from 10° to 80°):
- 2θ = 24.42°, intensity 49
- 2θ = 25.63°, intensity 100
- 2θ = 26.30°, intensity 89
- 2θ = 26.72°, intensity 42
- 2θ = 27.98°, intensity 32
- 2θ = 42.06°, intensity 65

Crystal structure
```
Ca3I5Cl
1.0
5.3067 -15.0447 0.0000
5.3067 15.0447 0.0000
0.0000 0.0000 4.5984
Ca I Cl
6 10 2
Direct
0.0000 0.0000 0.0000
0.1501 0.8499 0.5000
0.3271 0.6729 0.0000
0.5000 0.5000 0.5000
0.6729 0.3271 0.0000
0.8499 0.1501 0.5000
0.1321 0.4653 0.5000
0.1983 0.1983 0.5000
0.2230 0.7770 0.0000
0.4317 0.5683 0.0000
0.4653 0.1321 0.5000
0.5347 0.8679 0.5000
0.5683 0.4317 0.0000
0.7770 0.2230 0.0000
0.8017 0.8017 0.5000
0.8679 0.5347 0.5000
0.0952 0.9048 0.0000
0.9048 0.0952 0.0000
```

---

Starting from DFT lattice parameters and positions (GGA-PBE), the powder diffraction line list of Ca2ICl3 was simulated for copper Kα.

Main lines, by angle (2θ from 10° to 80°):
- 2θ = 11.21°, intensity 47
- 2θ = 12.30°, intensity 49
- 2θ = 27.13°, intensity 100
- 2θ = 27.84°, intensity 47
- 2θ = 34.66°, intensity 26
- 2θ = 42.96°, intensity 34

Crystal structure
```
Ca2ICl3
1.0
7.9595 -2.1205 0.0000
7.9595 2.1205 0.0000
-6.2298 0.0000 13.1590
Ca I Cl
4 2 6
Direct
0.2397 0.2397 0.1174
0.2595 0.2595 0.6265
0.7405 0.7405 0.3735
0.7603 0.7603 0.8826
0.1042 0.1042 0.2250
0.8958 0.8958 0.7750
0.1705 0.1705 0.7525
0.3401 0.3401 0.4903
0.3483 0.3483 0.0124
0.6517 0.6517 0.9876
0.6599 0.6599 0.5097
0.8295 0.8295 0.2475
```